Record 1
Theoretical XRD peak list
Compound: RbCd3In2
Radiation: Cu Kα X-rays
Structure: a cell relaxed with GGA-PBE
Lines closer than 0.1° are merged.

Peak list (10 most intense, 10 to 90 degrees two-theta, by angle)
(hkl)  2theta  d [Å]  I/Imax
0 0 1  10.9  8.082  100
1 1 -2  27.1  3.293  34
2 0 2  28.0  3.184  73
3 1 1  28.7  3.109  56
6 0 0  31.7  2.825  29
5 1 -2  32.1  2.787  98
0 2 0  35.6  2.525  83
5 1 -3  37.7  2.384  69
7 1 -1  38.6  2.332  38
2 2 2  45.9  1.978  37

Structure:
abc: 18.515 5.049 8.828
angles: 90.00 113.72 90.00
Space group C2/m (No. 12)
Unique sites:
Rb 0.160 0.000 0.085 (multiplicity 4)
Cd 0.008 0.000 0.335 (multiplicity 4)
Cd 0.092 0.500 0.666 (multiplicity 4)
Cd 0.189 0.500 0.446 (multiplicity 4)
In 0.028 0.500 0.184 (multiplicity 4)
In 0.171 0.000 0.636 (multiplicity 4)

=====

Record 2
Theoretical XRD peak list
Compound: Rb2Cd3In5
Radiation: Cu Kα X-rays
Structure: a cell relaxed with GGA-PBE
Lines closer than 0.1° are merged.

Peak list (10 most intense, 10 to 90 degrees two-theta, by angle)
(hkl)  2theta  d [Å]  I/Imax
1 0 3  27.6  3.229  45
1 1 2  28.8  3.095  100
2 0 0  35.8  2.509  71
1 1 4  38.1  2.362  54
1 0 5  39.9  2.260  28
2 1 3  45.8  1.981  22
2 2 0  51.5  1.774  24
2 1 5  54.7  1.679  22
3 1 2  60.1  1.539  24
3 1 4  65.8  1.418  20

Structure:
abc: 5.018 5.018 12.659
angles: 90.00 90.00 90.00
Space group P-4m2 (No. 115)
Unique sites:
Rb 0.000 0.500 0.247 (multiplicity 2)
Cd 0.000 0.000 0.000 (multiplicity 1)
Cd 0.000 0.500 0.871 (multiplicity 2)
In 0.000 0.000 0.500 (multiplicity 1)
In 0.000 0.500 0.639 (multiplicity 2)
In 0.500 0.500 0.000 (multiplicity 1)
In 0.500 0.500 0.500 (multiplicity 1)

=====

Record 3
Theoretical XRD peak list
Compound: Rb3Cd4In2
Radiation: Cu Kα X-rays
Structure: a cell relaxed with GGA-PBE
Lines closer than 0.1° are merged.

Peak list (10 most intense, 10 to 90 degrees two-theta, by angle)
(hkl)  2theta  d [Å]  I/Imax
0 1 1  13.8  6.426  87
0 1 0  13.9  6.365  29
0 2 1  26.3  3.383  46
0 0 3  27.3  3.267  51
1 2 0  27.4  3.255  26
-1 1 2  28.7  3.115  46
1 1 3  31.2  2.870  32
2 1 0  35.2  2.548  100
1 1 -3  35.4  2.535  37
1 4 1  51.1  1.787  34

Structure:
abc: 5.095 7.227 10.420
angles: 71.35 89.66 69.43
Space group P-1 (No. 2)
Unique sites:
Rb 0.000 0.000 0.000 (multiplicity 1)
Rb 0.381 0.240 0.632 (multiplicity 2)
Cd 0.089 0.824 0.637 (multiplicity 2)
Cd 0.265 0.469 0.932 (multiplicity 2)
In 0.302 0.395 0.239 (multiplicity 2)